1.
The following is a simulated XRD peak list of LaHo4C10. It was derived from DFT lattice parameters and positions (PBE), using CuKα.
Kinematic intensities with the Lorentz-polarization factor, no thermal factor.

Main lines, low angle first (2θ = 10–90°):
2θ = 27.92°, I = 100, (5 1 0)
2θ = 28.55°, I = 33, (4 0 1)
2θ = 34.05°, I = 25, (0 2 0)
2θ = 34.15°, I = 24, (6 0 -1)
2θ = 45.00°, I = 28, (4 2 1)
2θ = 45.21°, I = 9, (10 0 0)
2θ = 49.00°, I = 17, (6 2 -1)
2θ = 50.09°, I = 14, (3 1 2)
2θ = 50.25°, I = 14, (9 1 1)
2θ = 57.28°, I = 22, (7 1 -2)
2θ = 57.59°, I = 9, (2 2 -2)
2θ = 72.61°, I = 9, (3 1 -3)

Atomic structure:
```
data_LaHo4C10
_chemical_formula_sum 'La2 Ho8 C20'
_space_group_name_H-M_alt 'C 1 2/m 1'
_space_group_IT_number 12
_cell_length_a 20.0651
_cell_length_b 5.2664
_cell_length_c 4.0932
_cell_angle_alpha 90.00
_cell_angle_beta 91.62
_cell_angle_gamma 90.00
loop_
_space_group_symop_operation_xyz
'x,y,z'
'-x,-y,-z'
'-x,y,-z'
'x,-y,z'
'x+1/2,y+1/2,z'
'-x+1/2,-y+1/2,-z'
'-x+1/2,y+1/2,-z'
'x+1/2,-y+1/2,z'
loop_
_atom_site_label
_atom_site_type_symbol
_atom_site_fract_x
_atom_site_fract_y
_atom_site_fract_z
La1 La 0.0000 0.0000 0.0000
Ho1 Ho 0.1000 0.5000 0.5969
Ho2 Ho 0.2014 0.0000 0.2059
C1 C 0.0209 0.5000 0.1262
C2 C 0.0867 0.0000 0.4804
C3 C 0.1282 0.0000 0.7312
C4 C 0.1790 0.5000 0.0720
C5 C 0.2200 0.5000 0.3249
```

2.
The following is a simulated XRD peak list of Pr5Zr3Ni16As12. It was derived from DFT lattice parameters and positions (PBE), using CuKα.
Kinematic intensities with the Lorentz-polarization factor, no thermal factor.

Main lines, low angle first (2θ = 10–90°):
2θ = 32.91°, I = 29, (3 0 1)
2θ = 35.85°, I = 100, (2 2 1)
2θ = 36.78°, I = 66, (3 1 1)
2θ = 37.08°, I = 27, (4 1 0)
2θ = 40.60°, I = 15, (5 0 0)
2θ = 45.20°, I = 43, (0 0 2)
2θ = 45.45°, I = 16, (5 1 0)
2θ = 46.73°, I = 15, (5 0 1)
2θ = 49.21°, I = 27, (6 0 0)
2θ = 55.26°, I = 21, (4 3 1)
2θ = 62.36°, I = 14, (5 0 2)
2θ = 69.02°, I = 19, (6 0 2)

Atomic structure:
```
data_Pr5Zr3Ni16As12
_chemical_formula_sum 'Pr5 Zr3 Ni16 As12'
_space_group_name_H-M_alt 'P -6 2 m'
_space_group_IT_number 189
_space_group_name_Hall 'P -6 -2'
_cell_length_a 12.8291
_cell_length_b 12.8291
_cell_length_c 4.0120
_cell_angle_alpha 90.00
_cell_angle_beta 90.00
_cell_angle_gamma 120.00
loop_
_atom_site_label
_atom_site_type_symbol
_atom_site_fract_x
_atom_site_fract_y
_atom_site_fract_z
Pr1 Pr 0.0000 0.8126 0.0000
Pr2 Pr 0.3333 0.6667 0.5000
Zr1 Zr 0.0000 0.4310 0.5000
Ni1 Ni 0.0000 0.0000 0.5000
Ni2 Ni 0.0000 0.2758 0.0000
Ni3 Ni 0.1186 0.6335 0.0000
Ni4 Ni 0.1862 0.3795 0.5000
As1 As 0.0000 0.1808 0.5000
As2 As 0.0000 0.6368 0.5000
As3 As 0.1711 0.4741 0.0000
```

3.
The following is a simulated XRD peak list of ZnC2Br4N6. It was derived from DFT lattice parameters and positions (PBE), using CuKα.
Kinematic intensities with the Lorentz-polarization factor, no thermal factor.

Main lines, low angle first (2θ = 10–90°):
2θ = 11.60°, I = 76, (0 1 0)
2θ = 12.66°, I = 100, (1 0 0)
2θ = 18.88°, I = 62, (1 0 2)
2θ = 24.47°, I = 66, (1 1 3)
2θ = 24.84°, I = 47, (1 0 3)
2θ = 25.87°, I = 71, (1 0 -3)
2θ = 25.98°, I = 39, (1 2 0)
2θ = 26.18°, I = 53, (2 0 1)
2θ = 26.84°, I = 40, (2 0 -1)
2θ = 27.25°, I = 50, (1 -2 0)
2θ = 27.46°, I = 52, (0 2 3)
2θ = 31.49°, I = 40, (1 0 4)

Atomic structure:
```
data_ZnC2Br4N6
_chemical_formula_sum 'Zn2 C4 Br8 N12'
_space_group_name_H-M_alt 'P -1'
_space_group_IT_number 2
_cell_length_a 7.0193
_cell_length_b 7.9402
_cell_length_c 12.6759
_cell_angle_alpha 74.20
_cell_angle_beta 86.38
_cell_angle_gamma 85.94
loop_
_space_group_symop_operation_xyz
'x,y,z'
'-x,-y,-z'
loop_
_atom_site_label
_atom_site_type_symbol
_atom_site_fract_x
_atom_site_fract_y
_atom_site_fract_z
Zn1 Zn 0.0169 0.1248 0.2383
C1 C 0.2444 0.2259 0.5380
C2 C 0.3458 0.1638 0.8831
Br1 Br 0.1061 0.8308 0.2682
Br2 Br 0.1165 0.4046 0.1984
Br3 Br 0.2302 0.8340 0.9410
Br4 Br 0.2921 0.8738 0.6253
N1 N 0.2221 0.2860 0.9192
N2 N 0.2240 0.4094 0.5064
N3 N 0.2501 0.3336 0.6091
N4 N 0.2506 0.0898 0.5054
N5 N 0.3750 0.3427 0.8625
N6 N 0.4080 0.0179 0.8703
```

4.
The following is a simulated XRD peak list of Ho5Sb2Pd. It was derived from DFT lattice parameters and positions (PBE), using CuKα.
Kinematic intensities with the Lorentz-polarization factor, no thermal factor.

Main lines, low angle first (2θ = 10–90°):
2θ = 27.23°, I = 24, (2 2 1)
2θ = 31.06°, I = 93, (1 2 2)
2θ = 31.61°, I = 100, (4 0 1)
2θ = 31.93°, I = 67, (3 2 1)
2θ = 32.11°, I = 21, (0 3 1)
2θ = 33.65°, I = 71, (2 2 2)
2θ = 34.75°, I = 35, (1 0 3)
2θ = 35.81°, I = 34, (4 2 0)
2θ = 38.52°, I = 25, (2 1 3)
2θ = 40.38°, I = 39, (0 4 0)
2θ = 50.74°, I = 17, (6 0 2)
2θ = 52.17°, I = 24, (4 4 1)

Atomic structure:
```
data_Ho5Sb2Pd
_chemical_formula_sum 'Ho20 Sb8 Pd4'
_space_group_name_H-M_alt 'P n m a'
_space_group_IT_number 62
_cell_length_a 12.1219
_cell_length_b 8.9342
_cell_length_c 7.9265
_cell_angle_alpha 90.00
_cell_angle_beta 90.00
_cell_angle_gamma 90.00
loop_
_space_group_symop_operation_xyz
'x,y,z'
'-x,-y,-z'
'-x+1/2,-y,z+1/2'
'x+1/2,y,-z+1/2'
'x+1/2,-y+1/2,-z+1/2'
'-x+1/2,y+1/2,z+1/2'
'-x,y+1/2,-z'
'x,-y+1/2,z'
loop_
_atom_site_label
_atom_site_type_symbol
_atom_site_fract_x
_atom_site_fract_y
_atom_site_fract_z
Ho1 Ho 0.0009 0.2500 0.0389
Ho2 Ho 0.0671 0.0486 0.6818
Ho3 Ho 0.2021 0.7500 0.3622
Ho4 Ho 0.2145 0.2500 0.3318
Sb1 Sb 0.1735 0.5080 0.0655
Pd1 Pd 0.0163 0.7500 0.5851
```